This entry pairs a crystal structure of K6Co2O5 with its simulated X-ray powder pattern. Radiation: CuKα. Structure: a cell relaxed with GGA+U.
Kinematic intensities with the Lorentz-polarization factor, no thermal factor.

Crystal structure
```
data_K6Co2O5
_symmetry_space_group_name_H-M 'C 1 m 1'
_symmetry_Int_Tables_number 8
_symmetry_space_group_name_Hall 'C -2y'
_cell_length_a 6.8292
_cell_length_b 11.3757
_cell_length_c 6.5612
_cell_angle_alpha 90.00
_cell_angle_beta 92.55
_cell_angle_gamma 90.00
loop_
_atom_site_label
_atom_site_type_symbol
_atom_site_fract_x
_atom_site_fract_y
_atom_site_fract_z
K1 K 0.0000 0.0000 0.0000
K2 K 0.1412 0.2923 0.8107
K3 K 0.1424 0.2643 0.3178
K4 K 0.2928 0.0000 0.6297
Co1 Co 0.3462 0.5000 0.5153
Co2 Co 0.4280 0.0000 0.1359
O1 O 0.0850 0.5000 0.3895
O2 O 0.3433 0.1421 0.0391
O3 O 0.4482 0.3579 0.5870
```

Top 10 peaks for 5 to 70 degrees two-theta, low angle first:
2theta	intensity	(hkl)
20.0	46	1 1 -1
30.6	71	2 2 0
30.8	30	1 1 -2
31.5	100	0 4 0
34.0	19	2 2 1
37.2	25	2 0 -2
38.9	25	2 0 2
39.1	23	1 3 2
42.2	17	3 1 -1
50.3	14	1 5 -2